# Na5B7C3
Computed X-ray diffraction stick pattern, copper Kα. Input: a GGA-PBE-relaxed structure.
Lines closer than 0.1° are merged.

Principal peaks in the range 5 to 70 degrees two-theta, most intense first:
2theta  I/Imax
42.14  100.0
40.93  36.2
36.25  12.4
63.44  12.4
34.89  8.3
56.81  7.1

Structural model:
```
30
Lattice="8.5681 0.0000 0.0000 0.0000 1.4141 12.8591 0.0000 -1.4141 12.8591" Properties=species:S:1:pos:R:3 pbc="T T T"
Na 2.1061 0.0000 0.0000
Na 2.1093 0.0000 10.2981
Na 2.1177 0.0000 15.4678
Na 2.1424 0.0000 5.2100
Na 2.1436 0.0000 20.6277
Na 6.4257 0.0000 5.2100
Na 6.4245 0.0000 20.6277
Na 6.4504 0.0000 15.4678
Na 6.4620 0.0000 0.0000
Na 6.4588 0.0000 10.2981
B 0.0000 0.0000 1.6774
B 0.0000 0.0000 3.4671
B 0.0000 0.0000 6.8926
B 0.0000 0.0000 12.1142
B 0.0000 0.0000 17.3475
B 0.0000 0.0000 22.1797
B 0.0000 0.0000 23.9646
B 4.2840 0.0000 1.7120
B 4.2840 0.0000 3.3882
B 4.2840 0.0000 8.6770
B 4.2840 0.0000 13.4539
B 4.2840 0.0000 17.3566
B 4.2840 0.0000 19.1032
B 4.2840 0.0000 23.9432
C 0.0000 0.0000 8.5273
C 0.0000 0.0000 13.7358
C 0.0000 0.0000 18.9512
C 4.2840 0.0000 7.0502
C 4.2840 0.0000 11.9062
C 4.2840 0.0000 22.3386
```

# Dy2Tm3Pd3
Computed X-ray diffraction stick pattern, copper Kα. Input: a GGA-PBE-relaxed structure.
Lines closer than 0.1° are merged.

Principal peaks in the range 5 to 70 degrees two-theta, most intense first:
2theta  I/Imax
35.44  100.0
35.17  29.1
63.29  18.5
34.59  17.8
50.16  12.4
27.71  11.3

Structural model:
```
8
Lattice="-1.7647 2.5514 10.3718 1.7647 -2.5514 10.3718 1.7647 2.5514 -10.3718" Properties=species:S:1:pos:R:3 pbc="T T T"
Dy 0.0000 0.0000 4.7042
Dy 0.0000 0.0000 16.0394
Tm 0.0000 0.0000 0.0000
Tm 1.7647 0.0000 7.9844
Tm 0.0000 2.5514 2.3874
Pd 1.7647 0.0000 2.3555
Pd 0.0000 0.0000 10.3718
Pd 0.0000 2.5514 8.0163
```

# Pr4MgIr
Computed X-ray diffraction stick pattern, copper Kα. Input: a GGA-PBE-relaxed structure.
Lines closer than 0.1° are merged.

Principal peaks in the range 5 to 70 degrees two-theta, most intense first:
2theta  I/Imax
32.56  100.0
35.54  41.4
10.72  41.2
54.49  40.8
30.65  40.2
27.20  25.8

Structural model:
```
24
Lattice="0.0000 7.1449 7.1449 7.1449 0.0000 7.1449 7.1449 7.1449 0.0000" Properties=species:S:1:pos:R:3 pbc="T T T"
Pr 7.1449 7.1449 2.6931
Pr 7.1449 2.6931 7.1449
Pr 11.5966 7.1449 7.1449
Pr 4.9546 4.9546 4.9546
Pr 9.3352 9.3352 4.9546
Pr 9.3352 4.9546 9.3352
Pr 10.7173 10.7173 8.0207
Pr 10.7173 8.0207 10.7173
Pr 13.4139 10.7173 10.7173
Pr 2.6931 7.1449 7.1449
Pr 7.1449 11.5966 7.1449
Pr 7.1449 7.1449 11.5966
Pr 8.0207 10.7173 10.7173
Pr 10.7173 13.4139 10.7173
Pr 10.7173 10.7173 13.4139
Pr 4.9546 9.3352 9.3352
Mg 8.2712 6.0186 6.0186
Mg 6.0186 8.2712 6.0186
Mg 6.0186 6.0186 8.2712
Mg 8.2712 8.2712 8.2712
Ir 2.0248 2.0248 2.0248
Ir 5.1201 5.1201 2.0248
Ir 5.1201 2.0248 5.1201
Ir 2.0248 5.1201 5.1201
```

# Dy5Pb2
Computed X-ray diffraction stick pattern, copper Kα. Input: a GGA-PBE-relaxed structure.
Lines closer than 0.1° are merged.

Principal peaks in the range 5 to 70 degrees two-theta, most intense first:
2theta  I/Imax
34.22  100.0
29.66  77.3
39.15  66.6
51.07  43.8
31.48  42.5
67.80  28.1

Structural model:
```
14
Lattice="2.3019 -19.8953 0.0000 2.3019 19.8953 0.0000 0.0000 0.0000 4.5997" Properties=species:S:1:pos:R:3 pbc="T T T"
Dy 2.3019 18.4977 3.4498
Dy 2.3019 15.5491 1.1499
Dy 2.3019 9.9468 3.4498
Dy 2.3019 7.0206 1.1499
Dy 2.3019 1.3978 3.4498
Dy 2.3019 -1.3978 1.1499
Dy 2.3019 -7.0206 3.4498
Dy 2.3019 -9.9468 1.1499
Dy 2.3019 -15.5491 3.4498
Dy 2.3019 -18.4977 1.1499
Pb 2.3019 12.3657 1.1499
Pb 2.3019 3.8446 1.1499
Pb 2.3019 -3.8446 3.4498
Pb 2.3019 -12.3657 3.4498
```